Pr2YEr4: computed powder XRD pattern (Cu Ka), based on a cell relaxed with PBE.
Lines closer than 0.1° are merged.

Structure:
Cell lengths 6.7694, 8.4964, 9.2644 Å; angles 65.62, 72.06, 77.37 degrees
Positions (direct):
Pr 0.0000 0.0000 0.0000
Pr 0.0962 0.3888 0.0200
Pr 0.2866 0.1457 0.5690
Pr 0.8088 0.2426 0.4489
Y 0.6607 0.6702 0.1649
Y 0.8531 0.4367 0.7108
Er 0.1447 0.5802 0.2836
Er 0.2389 0.9520 0.3096
Er 0.3805 0.5320 0.5932
Er 0.4314 0.7192 0.8537
Er 0.5244 0.0989 0.8798
Er 0.5679 0.2880 0.1399
Er 0.7114 0.8585 0.4265
Er 0.9485 0.8104 0.7353

Top 10 peaks for 10 to 80 degrees two-theta, sorted by position:
28.28 deg, rel. 24
31.37 deg, rel. 24
32.42 deg, rel. 100
42.73 deg, rel. 13
50.06 deg, rel. 20
56.49 deg, rel. 14
56.57 deg, rel. 7
60.21 deg, rel. 8
60.31 deg, rel. 15
60.90 deg, rel. 14